# 1
Structure and calculated X-ray powder pattern of NaAsPdS4 (DFT lattice parameters and positions (PBE); a wavelength of 1.5418 Å).
Kinematic intensities with the Lorentz-polarization factor, no thermal factor.

Peak list (12 most intense, 2θ from 15° to 90°, low angle first)
2θ/deg  Rel. int.
17.00  100.0
24.13  25.1
27.94  14.0
33.01  13.4
34.41  32.6
37.35  43.4
44.96  14.0
48.40  31.6
52.63  9.4
55.72  13.1
57.80  15.2
63.54  8.3

Crystal structure
Cell: 7.378 7.378 12.710 Å, 90.00 90.00 90.00°
Space group I4/mcm (No. 140)
One atom of each set of equivalent atoms:
Na (0.000, 0.000, 0.250)
As (0.000, 0.500, 0.250)
Pd (0.000, 0.500, 0.000)
S (0.157, 0.343, 0.134)

***

# 2
Structure and calculated X-ray powder pattern of Pt7Pb (DFT lattice parameters and positions (PBE); a wavelength of 1.5418 Å).
Kinematic intensities with the Lorentz-polarization factor, no thermal factor.

Peak list (12 most intense, 2θ from 15° to 90°, low angle first)
2θ/deg  Rel. int.
38.65  100.0
39.98  46.7
44.23  51.9
46.31  8.2
48.55  11.2
64.31  15.1
65.96  11.5
67.75  16.8
77.62  27.1
78.48  13.4
83.13  10.4
84.53  9.4

Crystal structure
Cell: 2.897 2.897 43.131 Å, 90.00 90.00 90.00°
Space group P4/nmm (No. 129, origin choice 2)
One atom of each set of equivalent atoms:
Pt (0.250, 0.250, 0.022)
Pt (0.250, 0.250, 0.110)
Pt (0.250, 0.250, 0.197)
Pt (0.250, 0.250, 0.286)
Pt (0.250, 0.250, 0.759)
Pt (0.250, 0.250, 0.847)
Pt (0.250, 0.250, 0.934)
Pb (0.250, 0.250, 0.663)